(1)
Computed XRD peak list of Li2CoOF3 for Cu Ka, from a structure optimized by DFT (PBE+U).
Neutral-atom scattering factors, no anomalous dispersion.

Most intense lines, 2θ = 15–90°, low angle first:
| d [Å] | I (rel.) |
| --- | --- |
| 4.688 | 100.0 |
| 4.603 | 58.5 |
| 3.651 | 21.4 |
| 3.012 | 27.9 |
| 2.674 | 32.1 |
| 2.585 | 43.0 |
| 2.344 | 29.8 |
| 2.164 | 19.8 |

Atomic structure:
Unit cell a=5.354 b=5.354 c=6.032 alpha=92.68 beta=92.68 gamma=61.15
Sites, in units of the cell vectors:
Li (0.012, 0.988, 0.500)
Li (0.624, 0.660, 0.345)
Li (0.660, 0.624, 0.845)
Li (0.988, 0.012, 0.000)
Co (0.261, 0.396, 0.688)
Co (0.396, 0.261, 0.188)
O (0.164, 0.321, 0.957)
O (0.321, 0.164, 0.457)
F (0.248, 0.767, 0.761)
F (0.249, 0.682, 0.284)
F (0.650, 0.847, 0.099)
F (0.682, 0.249, 0.784)
F (0.767, 0.248, 0.261)
F (0.847, 0.650, 0.599)

=====

(2)
Computed XRD peak list of Li3Co2O2F3 for Cu Ka, from a structure optimized by DFT (PBE+U).
Neutral-atom scattering factors, no anomalous dispersion.

Most intense lines, 2θ = 15–90°, low angle first:
| d [Å] | I (rel.) |
| --- | --- |
| 5.199 | 30.4 |
| 2.715 | 58.3 |
| 2.093 | 60.2 |
| 2.086 | 100.0 |
| 2.080 | 43.3 |
| 2.046 | 28.8 |
| 1.475 | 27.6 |
| 1.473 | 47.9 |

Atomic structure:
Unit cell a=10.605 b=10.605 c=10.605 alpha=164.01 beta=164.01 gamma=22.69
Sites, in units of the cell vectors:
Li (0.000, 0.000, 0.000)
Li (0.403, 0.403, 0.000)
Li (0.597, 0.597, 0.000)
Co (0.207, 0.207, 0.000)
Co (0.793, 0.793, 0.000)
O (0.305, 0.305, 0.000)
O (0.695, 0.695, 0.000)
F (0.096, 0.096, 0.000)
F (0.500, 0.500, 0.000)
F (0.904, 0.904, 0.000)

=====

(3)
Computed XRD peak list of Li3Co4O4F3 for Cu Ka, from a structure optimized by DFT (PBE+U).
Neutral-atom scattering factors, no anomalous dispersion.

Most intense lines, 2θ = 15–90°, low angle first:
| d [Å] | I (rel.) |
| --- | --- |
| 2.660 | 45.8 |
| 2.438 | 40.8 |
| 2.213 | 31.7 |
| 2.133 | 48.9 |
| 2.101 | 100.0 |
| 1.497 | 53.6 |
| 1.486 | 28.0 |
| 1.219 | 24.2 |

Atomic structure:
Unit cell a=15.079 b=15.079 c=15.079 alpha=168.69 beta=168.69 gamma=16.02
Sites, in units of the cell vectors:
Li (0.000, 0.000, 0.000)
Li (0.431, 0.431, 0.000)
Li (0.569, 0.569, 0.000)
Co (0.141, 0.141, 0.000)
Co (0.282, 0.282, 0.000)
Co (0.718, 0.718, 0.000)
Co (0.859, 0.859, 0.000)
O (0.213, 0.213, 0.000)
O (0.359, 0.359, 0.000)
O (0.641, 0.641, 0.000)
O (0.787, 0.787, 0.000)
F (0.067, 0.067, 0.000)
F (0.500, 0.500, 0.000)
F (0.933, 0.933, 0.000)

=====

(4)
Computed XRD peak list of Li2CoPO4F for Cu Ka, from a structure optimized by DFT (PBE+U).
Neutral-atom scattering factors, no anomalous dispersion.

Most intense lines, 2θ = 15–90°, low angle first:
| d [Å] | I (rel.) |
| --- | --- |
| 4.981 | 34.7 |
| 4.913 | 10.9 |
| 3.436 | 12.0 |
| 3.373 | 100.0 |
| 3.228 | 42.8 |
| 2.530 | 16.7 |
| 2.421 | 15.4 |
| 2.075 | 15.8 |

Atomic structure:
Unit cell a=5.338 b=5.358 c=7.488 alpha=108.52 beta=108.33 gamma=94.11
Sites, in units of the cell vectors:
Li (0.000, 0.000, 0.000)
Li (0.038, 0.193, 0.383)
Li (0.288, 0.496, 0.231)
Li (0.680, 0.589, 0.643)
Co (0.504, 0.039, 0.027)
Co (0.525, 0.043, 0.542)
P (0.179, 0.416, 0.782)
P (0.855, 0.671, 0.289)
O (0.153, 0.780, 0.428)
O (0.188, 0.719, 0.886)
O (0.238, 0.283, 0.944)
O (0.380, 0.372, 0.669)
O (0.656, 0.701, 0.405)
O (0.788, 0.834, 0.146)
O (0.838, 0.366, 0.180)
O (0.893, 0.295, 0.617)
F (0.341, 0.151, 0.270)
F (0.660, 0.940, 0.795)

=====

(5)
Computed XRD peak list of LiCoSO4F for Cu Ka, from a structure optimized by DFT (PBE+U).
Neutral-atom scattering factors, no anomalous dispersion.

Most intense lines, 2θ = 15–90°, low angle first:
| d [Å] | I (rel.) |
| --- | --- |
| 5.091 | 24.5 |
| 4.824 | 73.3 |
| 4.016 | 24.7 |
| 3.448 | 38.1 |
| 3.342 | 100.0 |
| 3.322 | 51.4 |
| 3.147 | 93.0 |
| 2.514 | 33.5 |

Atomic structure:
Unit cell a=5.505 b=7.338 c=10.353 alpha=103.45 beta=101.10 gamma=107.69
Sites, in units of the cell vectors:
Li (0.007, 0.346, 0.133)
Li (0.493, 0.153, 0.367)
Li (0.507, 0.847, 0.633)
Li (0.993, 0.654, 0.867)
Co (0.000, 0.000, 0.500)
Co (0.000, 0.500, 0.500)
Co (0.500, 0.000, 0.000)
Co (0.500, 0.500, 0.000)
S (0.026, 0.917, 0.163)
S (0.473, 0.583, 0.337)
S (0.527, 0.417, 0.663)
S (0.974, 0.083, 0.837)
O (0.049, 0.895, 0.303)
O (0.102, 0.285, 0.946)
O (0.128, 0.953, 0.862)
O (0.193, 0.483, 0.341)
O (0.305, 0.016, 0.159)
O (0.373, 0.547, 0.638)
O (0.400, 0.215, 0.555)
O (0.449, 0.604, 0.197)
O (0.551, 0.396, 0.803)
O (0.600, 0.785, 0.445)
O (0.627, 0.453, 0.362)
O (0.695, 0.984, 0.841)
O (0.807, 0.517, 0.659)
O (0.872, 0.047, 0.138)
O (0.898, 0.715, 0.054)
O (0.951, 0.105, 0.697)
F (0.150, 0.804, 0.559)
F (0.350, 0.696, 0.942)
F (0.650, 0.304, 0.058)
F (0.850, 0.196, 0.441)

=====

Copy entry 5 word for word.
Computed XRD peak list of LiCoSO4F for Cu Ka, from a structure optimized by DFT (PBE+U).
Neutral-atom scattering factors, no anomalous dispersion.

Most intense lines, 2θ = 15–90°, low angle first:
| d [Å] | I (rel.) |
| --- | --- |
| 5.091 | 24.5 |
| 4.824 | 73.3 |
| 4.016 | 24.7 |
| 3.448 | 38.1 |
| 3.342 | 100.0 |
| 3.322 | 51.4 |
| 3.147 | 93.0 |
| 2.514 | 33.5 |

Atomic structure:
Unit cell a=5.505 b=7.338 c=10.353 alpha=103.45 beta=101.10 gamma=107.69
Sites, in units of the cell vectors:
Li (0.007, 0.346, 0.133)
Li (0.493, 0.153, 0.367)
Li (0.507, 0.847, 0.633)
Li (0.993, 0.654, 0.867)
Co (0.000, 0.000, 0.500)
Co (0.000, 0.500, 0.500)
Co (0.500, 0.000, 0.000)
Co (0.500, 0.500, 0.000)
S (0.026, 0.917, 0.163)
S (0.473, 0.583, 0.337)
S (0.527, 0.417, 0.663)
S (0.974, 0.083, 0.837)
O (0.049, 0.895, 0.303)
O (0.102, 0.285, 0.946)
O (0.128, 0.953, 0.862)
O (0.193, 0.483, 0.341)
O (0.305, 0.016, 0.159)
O (0.373, 0.547, 0.638)
O (0.400, 0.215, 0.555)
O (0.449, 0.604, 0.197)
O (0.551, 0.396, 0.803)
O (0.600, 0.785, 0.445)
O (0.627, 0.453, 0.362)
O (0.695, 0.984, 0.841)
O (0.807, 0.517, 0.659)
O (0.872, 0.047, 0.138)
O (0.898, 0.715, 0.054)
O (0.951, 0.105, 0.697)
F (0.150, 0.804, 0.559)
F (0.350, 0.696, 0.942)
F (0.650, 0.304, 0.058)
F (0.850, 0.196, 0.441)

=====

Q: Number 5 is which compound?
A: LiCoSO4F